(1)
Diffraction record for Ho6Pt5. The X-ray powder pattern is theoretical, not measured: it uses a DFT-relaxed cell (GGA-PBE, Alexandria) and Cu Kα, 1.54184 Å.
Lines closer than 0.1° are merged.

```
Ho6Pt5
1.0
-2.4382 3.4721 7.3671
2.4382 -3.4721 7.3671
2.4382 3.4721 -7.3671
Ho Pt
6 5
Cartesian
2.4382 1.7262 -2.4388
0.0000 1.7190 0.0000
2.4382 1.7262 2.4388
0.0000 1.7459 4.9283
0.0000 5.2251 0.0000
0.0000 1.7459 9.8059
2.4382 0.0000 0.0000
0.0000 0.0000 2.5560
2.4382 0.0000 4.9831
0.0000 3.4721 2.3839
0.0000 0.0000 12.1782
```

Largest 8 diffraction maxima, sorted by position, 2θ = 10–80°:
2θ = 36.7°, I = 100
2θ = 36.9°, I = 20
2θ = 52.7°, I = 7
2θ = 52.9°, I = 14
2θ = 65.9°, I = 21
2θ = 66.1°, I = 7
2θ = 66.3°, I = 14
2θ = 78.0°, I = 9



(2)
Diffraction record for La5Cd2In. The X-ray powder pattern is theoretical, not measured: it uses a DFT-relaxed cell (GGA-PBE, Alexandria) and Cu Kα, 1.54184 Å.
Lines closer than 0.1° are merged.

```
La5Cd2In
1.0
-4.0872 4.0872 3.7816
4.0872 -4.0872 3.7816
4.0872 4.0872 -3.7816
La Cd In
5 2 1
Cartesian
0.0000 0.0000 0.0000
2.0442 2.0442 1.8854
2.0430 -2.0430 5.6671
-2.0430 2.0430 5.6671
2.0430 2.0430 5.6671
4.0872 0.0000 3.7764
0.0000 4.0872 3.7764
0.0000 0.0000 3.7742
```

Largest 8 diffraction maxima, sorted by position, 2θ = 10–80°:
2θ = 30.9°, I = 56
2θ = 32.2°, I = 100
2θ = 44.3°, I = 21
2θ = 55.9°, I = 41
2θ = 58.3°, I = 18
2θ = 67.5°, I = 11
2θ = 73.2°, I = 9
2θ = 73.9°, I = 9



(3)
Diffraction record for Pr8ErMg2. The X-ray powder pattern is theoretical, not measured: it uses a DFT-relaxed cell (GGA-PBE, Alexandria) and Cu Kα, 1.54184 Å.
Lines closer than 0.1° are merged.

```
Pr8ErMg2
1.0
9.0189 -2.5998 0.0000
9.0189 2.5998 0.0000
-2.6414 0.0000 7.8704
Pr Er Mg
8 1 2
Cartesian
0.2798 0.0000 1.8545
0.6884 0.0000 5.4851
4.2064 0.0000 4.4349
7.2020 0.0000 0.3166
8.1944 0.0000 7.5538
11.1900 0.0000 3.4355
14.7079 0.0000 2.3853
15.1166 0.0000 6.0159
7.6982 0.0000 3.9352
3.7420 0.0000 1.0488
11.6544 0.0000 6.8216
```

Largest 8 diffraction maxima, sorted by position, 2θ = 10–80°:
2θ = 30.3°, I = 100
2θ = 33.9°, I = 18
2θ = 34.5°, I = 18
2θ = 36.8°, I = 15
2θ = 49.2°, I = 13
2θ = 51.3°, I = 11
2θ = 58.5°, I = 7
2θ = 59.2°, I = 15



(4)
Diffraction record for Cd2Ag2Hg. The X-ray powder pattern is theoretical, not measured: it uses a DFT-relaxed cell (GGA-PBE, Alexandria) and Cu Kα, 1.54184 Å.
Lines closer than 0.1° are merged.

```
Cd2Ag2Hg
1.0
4.8686 -2.0964 0.0000
4.8686 2.0964 0.0000
-4.8282 0.0000 4.9315
Cd Ag Hg
2 2 1
Cartesian
0.5118 0.0000 1.4189
4.3973 0.0000 3.5126
3.4213 0.0000 0.4839
1.4879 0.0000 4.4476
-2.4141 0.0000 2.4657
```

Largest 8 diffraction maxima, sorted by position, 2θ = 10–80°:
2θ = 35.9°, I = 100
2θ = 36.2°, I = 97
2θ = 41.2°, I = 67
2θ = 43.2°, I = 30
2θ = 59.2°, I = 12
2θ = 61.2°, I = 41
2θ = 71.4°, I = 25
2θ = 72.1°, I = 25



(5)
Diffraction record for Rb5Si2Se6. The X-ray powder pattern is theoretical, not measured: it uses a DFT-relaxed cell (GGA-PBE, Alexandria) and Cu Kα, 1.54184 Å.
Lines closer than 0.1° are merged.

```
Rb5Si2Se6
1.0
6.7057 -4.3193 0.0000
6.7057 4.3193 0.0000
-3.5751 0.0000 17.4495
Rb Si Se
10 4 12
Cartesian
4.0243 3.1553 13.0871
6.0371 2.2857 0.0227
3.5834 0.7929 4.8436
5.5866 2.2857 8.7021
1.7958 -0.7929 13.5683
8.0404 0.7929 3.8811
4.2496 -2.2857 8.7474
6.2529 -0.7929 12.6059
3.7991 -2.2857 17.4268
5.8119 -3.1553 4.3624
1.6229 1.1950 9.9880
3.4105 -1.1950 1.2632
6.4258 1.1950 16.1863
8.2133 -1.1950 7.4615
-0.2496 0.4523 11.1142
1.3764 0.7030 7.5984
1.5379 -0.4523 2.3895
-0.4112 -0.7030 16.3231
3.5588 0.3914 10.9019
5.3463 -0.3914 2.1771
4.4899 0.3914 15.2724
6.2775 -0.3914 6.5476
10.2474 0.7030 1.1264
8.2983 0.4523 15.0600
8.4599 -0.7030 9.8511
10.0858 -0.4523 6.3353
```

Largest 8 diffraction maxima, sorted by position, 2θ = 10–80°:
2θ = 12.7°, I = 44
2θ = 24.2°, I = 66
2θ = 25.1°, I = 75
2θ = 25.7°, I = 36
2θ = 26.6°, I = 100
2θ = 27.8°, I = 75
2θ = 29.1°, I = 44
2θ = 33.0°, I = 39



(6)
Diffraction record for SrLi3Cd9. The X-ray powder pattern is theoretical, not measured: it uses a DFT-relaxed cell (GGA-PBE, Alexandria) and Cu Kα, 1.54184 Å.
Lines closer than 0.1° are merged.

```
SrLi3Cd9
1.0
2.7474 -7.2316 0.0000
2.7474 7.2316 0.0000
-2.5854 0.0000 7.1788
Sr Li Cd
1 3 9
Cartesian
0.0000 0.0000 0.0000
-1.2927 0.0000 3.5894
1.3737 3.6158 0.0000
1.3737 -3.6158 0.0000
0.1827 4.6592 4.6898
0.1234 1.6294 5.6532
2.7268 4.6592 2.4889
2.7861 1.6294 1.5255
1.4547 0.0000 3.5894
0.1234 -1.6294 5.6532
0.1827 -4.6592 4.6898
2.7861 -1.6294 1.5255
2.7268 -4.6592 2.4889
```

Largest 8 diffraction maxima, sorted by position, 2θ = 10–80°:
2θ = 30.7°, I = 92
2θ = 32.6°, I = 100
2θ = 35.2°, I = 89
2θ = 35.5°, I = 93
2θ = 35.7°, I = 92
2θ = 36.2°, I = 94
2θ = 39.7°, I = 79
2θ = 41.3°, I = 47



(7)
Diffraction record for Ce2Dy8Th3. The X-ray powder pattern is theoretical, not measured: it uses a DFT-relaxed cell (GGA-PBE, Alexandria) and Cu Kα, 1.54184 Å.
Lines closer than 0.1° are merged.

```
Ce2Dy8Th3
1.0
5.6721 -6.6368 0.0000
5.6721 6.6368 0.0000
0.0000 0.0000 11.0755
Ce Dy Th
4 16 6
Cartesian
5.6721 3.8093 10.3774
5.6721 2.8275 4.8396
5.6721 -2.8275 6.2359
5.6721 -3.8093 0.6981
5.6721 5.8826 7.0531
2.6276 1.5689 6.4421
3.0445 1.5689 10.1712
5.6721 4.2310 2.3266
5.6721 2.4058 7.8644
2.6276 -1.5689 4.6334
3.0445 -1.5689 0.9044
5.6721 0.7543 1.5153
5.6721 -0.7543 9.5602
8.2997 1.5689 10.1712
8.7167 1.5689 6.4421
5.6721 -2.4058 3.2112
5.6721 -4.2310 8.7489
8.2997 -1.5689 0.9044
8.7167 -1.5689 4.6334
5.6721 -5.8826 4.0225
0.0000 0.0000 0.0000
2.8361 1.8522 2.7689
2.8361 -1.8522 8.3066
5.6721 0.0000 5.5378
8.5082 1.8522 2.7689
8.5082 -1.8522 8.3066
```

Largest 8 diffraction maxima, sorted by position, 2θ = 10–80°:
2θ = 26.9°, I = 16
2θ = 31.2°, I = 49
2θ = 31.5°, I = 56
2θ = 31.9°, I = 100
2θ = 32.3°, I = 21
2θ = 47.9°, I = 19
2θ = 56.4°, I = 17
2θ = 58.5°, I = 21



(8)
Diffraction record for Ag4Te2Br5. The X-ray powder pattern is theoretical, not measured: it uses a DFT-relaxed cell (GGA-PBE, Alexandria) and Cu Kα, 1.54184 Å.
Lines closer than 0.1° are merged.

```
Ag4Te2Br5
1.0
4.1103 0.0000 0.0000
0.0813 9.4774 0.0000
1.2584 2.6391 9.0724
Ag Te Br
4 2 5
Cartesian
0.7040 3.3030 4.2895
2.0494 5.8555 8.0475
3.4006 6.2610 1.0249
4.7460 8.8135 4.7829
2.7823 4.9802 5.3598
2.6678 7.1362 3.7126
0.6276 4.0629 1.6374
1.5612 8.0911 0.9658
2.6843 1.3195 4.5362
3.8888 4.0254 8.1066
4.8224 8.0536 7.4350
```

Largest 8 diffraction maxima, sorted by position, 2θ = 10–80°:
2θ = 15.6°, I = 47
2θ = 19.5°, I = 83
2θ = 23.9°, I = 71
2θ = 28.7°, I = 100
2θ = 29.0°, I = 59
2θ = 29.5°, I = 63
2θ = 39.2°, I = 61
2θ = 42.7°, I = 46



(9)
Diffraction record for LiLa4Pb. The X-ray powder pattern is theoretical, not measured: it uses a DFT-relaxed cell (GGA-PBE, Alexandria) and Cu Kα, 1.54184 Å.
Lines closer than 0.1° are merged.

```
LiLa4Pb
1.0
0.0000 4.6680 4.6680
4.6680 0.0000 4.6680
4.6680 4.6680 0.0000
Li La Pb
1 4 1
Cartesian
0.0000 0.0000 0.0000
3.5313 3.5313 3.5313
5.8047 5.8047 3.5313
5.8047 3.5313 5.8047
3.5313 5.8047 5.8047
7.0020 7.0020 7.0020
```

Largest 8 diffraction maxima, sorted by position, 2θ = 10–80°:
2θ = 16.4°, I = 34
2θ = 27.0°, I = 17
2θ = 31.8°, I = 100
2θ = 33.2°, I = 50
2θ = 50.8°, I = 35
2θ = 55.7°, I = 29
2θ = 66.4°, I = 20
2θ = 78.7°, I = 23



(10)
Diffraction record for PdAu2F8. The X-ray powder pattern is theoretical, not measured: it uses a DFT-relaxed cell (GGA-PBE, Alexandria) and Cu Kα, 1.54184 Å.
Lines closer than 0.1° are merged.

```
PdAu2F8
1.0
5.5005 0.0000 0.0000
0.0000 11.1457 0.0000
-5.2275 0.0000 5.6571
Pd Au F
2 4 16
Cartesian
0.0000 0.0000 0.0000
-2.6137 5.5728 2.8285
-1.2834 2.0750 3.0081
1.3304 3.4978 0.1795
-1.0573 7.6479 5.4775
1.5564 9.0707 2.6490
-1.2443 6.6770 1.5700
-3.8580 10.0416 4.3986
-4.1364 1.7440 4.9101
-1.5227 3.8288 2.0816
1.5543 8.1105 0.9519
-1.0594 8.6080 3.7804
-1.0374 0.3369 3.9464
1.5763 5.2359 1.1178
-1.3033 5.9098 4.5393
1.3104 10.8088 1.7107
1.3325 2.5377 1.8767
-1.2813 3.0352 4.7052
1.7957 7.3169 3.5755
4.4094 9.4017 0.7469
4.1311 1.1041 1.2585
1.5173 4.4687 4.0870
```

Largest 8 diffraction maxima, sorted by position, 2θ = 10–80°:
2θ = 15.9°, I = 26
2θ = 22.7°, I = 71
2θ = 23.4°, I = 100
2θ = 24.5°, I = 90
2θ = 28.7°, I = 92
2θ = 31.6°, I = 27
2θ = 32.6°, I = 35
2θ = 36.5°, I = 38